# LiCaH3
Computed X-ray powder pattern, copper Kα. Input: a GGA-PBE-relaxed structure.
Neutral-atom scattering factors, no anomalous dispersion.

Largest 6 diffraction maxima, in order of rising 2θ, 5° ≤ 2θ ≤ 70°:
Position (°2θ)	Rel. int.	hkl
24.38	100	0 1 2
34.42	64	1 1 0
35.07	62	1 0 4
42.63	26	2 0 2
49.95	24	0 2 4
62.07	21	2 1 4

Atomic structure:
a = 5.2111 Å, b = 5.2111 Å, c = 12.4273 Å
α = 90.00°, β = 90.00°, γ = 120.00°
Space group R-3c (No. 167, hexagonal axes)
Asymmetric unit:
Li 0.0000 0.0000 0.0000
Ca 0.0000 0.0000 0.2500
H 0.0000 0.4484 0.2500

=====

# Mg5In2
Computed X-ray powder pattern, copper Kα. Input: a GGA-PBE-relaxed structure.
Neutral-atom scattering factors, no anomalous dispersion.

Largest 6 diffraction maxima, in order of rising 2θ, 5° ≤ 2θ ≤ 70°:
Position (°2θ)	Rel. int.	hkl
22.43	100	1 2 1
34.86	43	2 4 0
37.77	39	2 0 2
38.39	37	0 4 2
41.28	28	3 2 1
42.43	27	1 6 1

Atomic structure:
a = 7.4180 Å, b = 14.2936 Å, c = 6.2140 Å
α = 90.00°, β = 90.00°, γ = 90.00°
Space group Ibam (No. 72)
Asymmetric unit:
Mg 0.0000 0.0000 0.2500
Mg 0.0000 0.2334 0.2500
Mg 0.1611 0.4139 0.0000
In 0.2335 0.3773 0.5000

=====

Which formula does entry 2 have? Mg5In2